Record 1
Structure and theoretical PXRD pattern of Sm3Cu3Ni (a structure optimized by DFT (GGA-PBE); copper Kα).
Lines closer than 0.1° are merged.

```
7
Lattice="-1.902 2.151 9.085 1.902 -2.151 9.085 1.902 2.151 -9.085" Properties=species:S:1:pos:R:3 pbc="T T T"
Sm 0.000 0.000 0.000
Sm 0.000 0.000 6.591
Sm 0.000 2.151 3.416
Cu 1.902 0.000 2.190
Cu 0.000 0.000 9.933
Cu 0.000 0.000 14.933
Ni 1.902 0.000 4.571
```

Top 8 peaks for 5 to 70 degrees two-theta, in order of falling intensity:
2θ = 32.94°, d 2.720, I 100; 2θ = 34.12°, d 2.628, I 57; 2θ = 25.39°, d 3.508, I 35; 2θ = 37.24°, d 2.414, I 34; 2θ = 42.00°, d 2.151, I 32; 2θ = 55.18°, d 1.665, I 28; 2θ = 40.59°, d 2.223, I 27; 2θ = 47.81°, d 1.902, I 22

***

Record 2
Structure and theoretical PXRD pattern of Sc8SnRu2 (a structure optimized by DFT (GGA-PBE); copper Kα).
Lines closer than 0.1° are merged.

```
11
Lattice="-2.443 7.390 3.264 2.443 -7.390 3.264 2.443 7.390 -3.264" Properties=species:S:1:pos:R:3 pbc="T T T"
Sc 0.000 0.000 0.000
Sc 2.443 2.554 0.528
Sc 2.443 5.716 -0.373
Sc 0.000 4.290 0.806
Sc 0.000 1.674 2.892
Sc 0.000 7.390 1.546
Sc 0.000 10.490 0.806
Sc 0.000 4.836 3.792
Sn 2.443 0.000 1.928
Ru 2.443 4.884 2.094
Ru 0.000 2.506 5.359
```

Top 8 peaks for 5 to 70 degrees two-theta, in order of falling intensity:
2θ = 37.84°, d 2.377, I 100; 2θ = 36.78°, d 2.443, I 54; 2θ = 22.61°, d 3.933, I 46; 2θ = 22.73°, d 3.912, I 34; 2θ = 45.61°, d 1.989, I 32; 2θ = 43.41°, d 2.084, I 30; 2θ = 25.68°, d 3.469, I 27; 2θ = 33.33°, d 2.688, I 26

***

Record 3
Structure and theoretical PXRD pattern of Ca3PuPb12 (a structure optimized by DFT (GGA-PBE); copper Kα).
Lines closer than 0.1° are merged.

```
16
Lattice="4.922 0.000 0.000 0.000 4.922 0.000 0.000 0.000 19.714" Properties=species:S:1:pos:R:3 pbc="T T T"
Ca 0.000 0.000 0.000
Ca 0.000 0.000 4.996
Ca 0.000 0.000 14.718
Pu 0.000 0.000 9.857
Pb 0.000 2.461 2.478
Pb 0.000 2.461 7.428
Pb 0.000 2.461 12.286
Pb 0.000 2.461 17.236
Pb 2.461 0.000 2.478
Pb 2.461 0.000 7.428
Pb 2.461 0.000 12.286
Pb 2.461 0.000 17.236
Pb 2.461 2.461 0.000
Pb 2.461 2.461 4.947
Pb 2.461 2.461 9.857
Pb 2.461 2.461 14.766
```

Top 8 peaks for 5 to 70 degrees two-theta, in order of falling intensity:
2θ = 31.47°, d 2.843, I 100; 2θ = 36.50°, d 2.462, I 51; 2θ = 62.57°, d 1.485, I 43; 2θ = 52.57°, d 1.741, I 36; 2θ = 65.69°, d 1.421, I 13; 2θ = 18.01°, d 4.924, I 7; 2θ = 25.58°, d 3.482, I 6; 2θ = 40.99°, d 2.202, I 4

***

Record 4
Structure and theoretical PXRD pattern of NpPBrO4 (a structure optimized by DFT (GGA-PBE); copper Kα).
Lines closer than 0.1° are merged.

```
14
Lattice="5.000 -3.465 0.000 5.000 3.465 0.000 -1.553 0.000 6.390" Properties=species:S:1:pos:R:3 pbc="T T T"
Np 2.215 0.000 1.001
Np 6.232 0.000 5.390
P 2.502 0.000 4.719
P 5.945 0.000 1.671
Br -0.978 0.000 4.829
Br 9.425 0.000 1.561
O 1.806 1.216 5.440
O 2.171 0.000 3.217
O 4.432 0.000 1.451
O 1.806 -1.216 5.440
O 6.642 1.216 0.950
O 4.015 0.000 4.939
O 6.276 0.000 3.174
O 6.642 -1.216 0.950
```

Top 8 peaks for 5 to 70 degrees two-theta, in order of falling intensity:
2θ = 25.71°, d 3.465, I 100; 2θ = 19.51°, d 4.550, I 68; 2θ = 30.69°, d 2.914, I 58; 2θ = 13.86°, d 6.390, I 57; 2θ = 18.26°, d 4.859, I 53; 2θ = 34.09°, d 2.630, I 48; 2θ = 36.89°, d 2.436, I 46; 2θ = 22.40°, d 3.968, I 42